Record 1
Theoretical powder XRD pattern
Compound: Rb2Sc2InTe6
Radiation: Cu Kα X-rays
Structure: a PBE-relaxed structure

Top 8 peaks for 10 to 80 degrees two-theta, by angle:
d [Å]	two_theta	I_rel
3.211	27.8	100
3.181	28.0	49
2.987	29.9	18
2.648	33.9	20
2.472	36.3	28
2.117	42.7	18
2.095	43.2	35
1.762	51.9	17

Atomic structure:
```
data_Rb2Sc2InTe6
_chemical_formula_sum 'Rb4 Sc4 In2 Te12'
_cell_length_a 7.232
_cell_length_b 12.700
_cell_length_c 9.273
_cell_angle_alpha 90.00
_cell_angle_beta 104.95
_cell_angle_gamma 90.00
_space_group_name_H-M_alt 'C 1 2/m 1'
_space_group_IT_number 12
_space_group_name_Hall '-C 2y'
loop_
_atom_site_label
_atom_site_type_symbol
_atom_site_fract_x
_atom_site_fract_y
_atom_site_fract_z
Rb1 Rb 0.000 0.163 0.000
Sc1 Sc 0.000 0.331 0.500
In1 In 0.000 0.000 0.500
Te1 Te 0.218 0.500 0.689
Te2 Te 0.237 0.170 0.692
```


Record 2
Theoretical powder XRD pattern
Compound: TePb4Br6
Radiation: Cu Kα X-rays
Structure: a PBE-relaxed structure

Top 8 peaks for 10 to 80 degrees two-theta, by angle:
d [Å]	two_theta	I_rel
4.728	18.8	36
4.018	22.1	86
3.236	27.6	26
2.968	30.1	62
2.913	30.7	22
2.730	32.8	100
2.239	40.3	60
2.220	40.6	28

Atomic structure:
```
data_TePb4Br6
_chemical_formula_sum 'Te2 Pb8 Br12'
_cell_length_a 10.9189
_cell_length_b 10.9189
_cell_length_c 7.6264
_cell_angle_alpha 90.00
_cell_angle_beta 90.00
_cell_angle_gamma 120.00
_space_group_name_H-M_alt 'P 63 m c'
_space_group_IT_number 186
_space_group_name_Hall 'P 6c -2c'
loop_
_atom_site_label
_atom_site_type_symbol
_atom_site_fract_x
_atom_site_fract_y
_atom_site_fract_z
Te1 Te 0.3333 0.6667 0.0000
Pb1 Pb 0.1822 0.3645 0.8572
Pb2 Pb 0.3333 0.6667 0.4084
Br1 Br 0.0663 0.5332 0.6078
Br2 Br 0.1390 0.2780 0.2440
```


Record 3
Theoretical powder XRD pattern
Compound: PmScAlZn
Radiation: Cu Kα X-rays
Structure: a PBE-relaxed structure

Top 8 peaks for 10 to 80 degrees two-theta, by angle:
d [Å]	two_theta	I_rel
4.086	21.8	34
3.538	25.2	13
2.502	35.9	100
2.134	42.4	19
1.769	51.7	17
1.623	56.7	8
1.444	64.5	34
1.251	76.1	11

Atomic structure:
```
data_PmScAlZn
_chemical_formula_sum 'Pm4 Sc4 Al4 Zn4'
_cell_length_a 7.077
_cell_length_b 7.077
_cell_length_c 7.077
_cell_angle_alpha 90.00
_cell_angle_beta 90.00
_cell_angle_gamma 90.00
_space_group_name_H-M_alt 'F -4 3 m'
_space_group_IT_number 216
_space_group_name_Hall 'F -4 2 3'
loop_
_atom_site_label
_atom_site_type_symbol
_atom_site_fract_x
_atom_site_fract_y
_atom_site_fract_z
Pm1 Pm 0.000 0.000 0.000
Sc1 Sc 0.000 0.000 0.500
Al1 Al 0.250 0.250 0.250
Zn1 Zn 0.250 0.250 0.750
```


Record 4
Theoretical powder XRD pattern
Compound: Th4Ge2AsSe
Radiation: Cu Kα X-rays
Structure: a PBE-relaxed structure

Top 8 peaks for 10 to 80 degrees two-theta, by angle:
d [Å]	two_theta	I_rel
3.496	25.5	33
3.023	29.6	100
2.143	42.2	39
2.132	42.4	38
1.748	52.3	21
1.511	61.3	13
1.355	69.4	18
1.349	69.7	12

Atomic structure:
```
data_Th4Ge2AsSe
_chemical_formula_sum 'Th4 Ge2 As1 Se1'
_cell_length_a 7.369
_cell_length_b 4.284
_cell_length_c 7.428
_cell_angle_alpha 90.00
_cell_angle_beta 109.54
_cell_angle_gamma 90.00
_space_group_name_H-M_alt 'P 1 2/m 1'
_space_group_IT_number 10
_space_group_name_Hall '-P 2y'
loop_
_atom_site_label
_atom_site_type_symbol
_atom_site_fract_x
_atom_site_fract_y
_atom_site_fract_z
Th1 Th 0.242 0.000 0.244
Th2 Th 0.245 0.500 0.752
Ge1 Ge 0.000 0.000 0.500
Ge2 Ge 0.000 0.500 0.000
As1 As 0.500 0.000 0.000
Se1 Se 0.500 0.500 0.500
```


Record 5
Theoretical powder XRD pattern
Compound: DyVH
Radiation: Cu Kα X-rays
Structure: a PBE-relaxed structure

Top 8 peaks for 10 to 80 degrees two-theta, by angle:
d [Å]	two_theta	I_rel
4.009	22.2	43
2.548	35.2	100
2.295	39.3	38
2.057	44.0	14
1.992	45.5	14
1.623	56.7	13
1.532	60.4	21
1.369	68.5	28

Atomic structure:
```
data_DyVH
_chemical_formula_sum 'Dy4 V4 H4'
_cell_length_a 4.590
_cell_length_b 4.590
_cell_length_c 8.230
_cell_angle_alpha 90.00
_cell_angle_beta 90.00
_cell_angle_gamma 90.00
_space_group_name_H-M_alt 'I 41 m d'
_space_group_IT_number 109
_space_group_name_Hall 'I 4bw -2'
loop_
_atom_site_label
_atom_site_type_symbol
_atom_site_fract_x
_atom_site_fract_y
_atom_site_fract_z
Dy1 Dy 0.000 0.000 0.000
V1 V 0.000 0.000 0.506
H1 H 0.000 0.000 0.276
```


Record 6
Theoretical powder XRD pattern
Compound: Pu4GeCl4
Radiation: Cu Kα X-rays
Structure: a PBE-relaxed structure

Top 8 peaks for 10 to 80 degrees two-theta, by angle:
d [Å]	two_theta	I_rel
3.598	24.7	100
3.502	25.4	28
3.001	29.8	22
2.911	30.7	22
2.476	36.3	29
2.314	38.9	25
2.040	44.4	29
1.941	46.8	14

Atomic structure:
```
data_Pu4GeCl4
_chemical_formula_sum 'Pu8 Ge2 Cl8'
_cell_length_a 7.005
_cell_length_b 7.005
_cell_length_c 10.468
_cell_angle_alpha 90.00
_cell_angle_beta 90.00
_cell_angle_gamma 90.00
_space_group_name_H-M_alt 'I -4 2 m'
_space_group_IT_number 121
_space_group_name_Hall 'I -4 2'
loop_
_atom_site_label
_atom_site_type_symbol
_atom_site_fract_x
_atom_site_fract_y
_atom_site_fract_z
Pu1 Pu 0.215 0.215 0.161
Ge1 Ge 0.000 0.000 0.000
Cl1 Cl 0.000 0.000 0.344
Cl2 Cl 0.000 0.500 0.000
```


Record 7
Theoretical powder XRD pattern
Compound: Zn3GaPd
Radiation: Cu Kα X-rays
Structure: a PBE-relaxed structure

Top 8 peaks for 10 to 80 degrees two-theta, by angle:
d [Å]	two_theta	I_rel
5.279	16.8	21
3.451	25.8	36
3.245	27.5	21
2.222	40.6	73
2.175	41.5	100
2.113	42.8	53
1.917	47.4	22
1.287	73.6	27

Atomic structure:
```
data_Zn3GaPd
_chemical_formula_sum 'Zn12 Ga4 Pd4'
_cell_length_a 7.926
_cell_length_b 10.559
_cell_length_c 4.114
_cell_angle_alpha 90.00
_cell_angle_beta 90.00
_cell_angle_gamma 90.00
_space_group_name_H-M_alt 'C 2 2 21'
_space_group_IT_number 20
_space_group_name_Hall 'C 2c 2'
loop_
_atom_site_label
_atom_site_type_symbol
_atom_site_fract_x
_atom_site_fract_y
_atom_site_fract_z
Zn1 Zn 0.133 0.000 0.000
Zn2 Zn 0.172 0.304 0.244
Ga1 Ga 0.000 0.434 0.750
Pd1 Pd 0.000 0.199 0.750
```


Record 8
Theoretical powder XRD pattern
Compound: PuGa6
Radiation: Cu Kα X-rays
Structure: a PBE-relaxed structure

Top 8 peaks for 10 to 80 degrees two-theta, by angle:
d [Å]	two_theta	I_rel
7.709	11.5	26
2.843	31.5	45
2.777	32.2	100
2.517	35.7	21
2.193	41.2	70
2.105	43.0	33
1.692	54.2	27
1.347	69.8	21

Atomic structure:
```
data_PuGa6
_chemical_formula_sum 'Pu2 Ga12'
_cell_length_a 5.954
_cell_length_b 5.954
_cell_length_c 7.709
_cell_angle_alpha 90.00
_cell_angle_beta 90.00
_cell_angle_gamma 90.00
_space_group_name_H-M_alt 'P 4/n b m'
_space_group_IT_number 125
loop_
_space_group_symop_operation_xyz
'x,y,z'
'-x,-y,-z'
'-y+1/2,x,z'
'y+1/2,-x,-z'
'-x+1/2,-y+1/2,z'
'x+1/2,y+1/2,-z'
'y,-x+1/2,z'
'-y,x+1/2,-z'
'x,-y+1/2,-z'
'-x,y+1/2,z'
'-y+1/2,-x+1/2,-z'
'y+1/2,x+1/2,z'
'-x+1/2,y,-z'
'x+1/2,-y,z'
'y,x,-z'
'-y,-x,z'
loop_
_atom_site_label
_atom_site_type_symbol
_atom_site_fract_x
_atom_site_fract_y
_atom_site_fract_z
Pu1 Pu 0.250 0.750 0.000
Ga1 Ga 0.066 0.566 0.351
Ga2 Ga 0.250 0.250 0.159
```


Record 9
Theoretical powder XRD pattern
Compound: LiHg3
Radiation: Cu Kα X-rays
Structure: a PBE-relaxed structure

Top 8 peaks for 10 to 80 degrees two-theta, by angle:
d [Å]	two_theta	I_rel
4.997	17.7	45
2.842	31.5	23
2.719	32.9	100
2.499	35.9	80
2.279	39.5	61
2.204	40.9	28
1.584	58.2	40
1.421	65.7	28

Atomic structure:
```
data_LiHg3
_chemical_formula_sum 'Li2 Hg6'
_cell_length_a 6.066
_cell_length_b 8.816
_cell_length_c 3.455
_cell_angle_alpha 90.00
_cell_angle_beta 90.00
_cell_angle_gamma 90.00
_space_group_name_H-M_alt 'C m m m'
_space_group_IT_number 65
_space_group_name_Hall '-C 2 2'
loop_
_atom_site_label
_atom_site_type_symbol
_atom_site_fract_x
_atom_site_fract_y
_atom_site_fract_z
Li1 Li 0.000 0.000 0.000
Hg1 Hg 0.000 0.500 0.000
Hg2 Hg 0.250 0.250 0.500
```


Record 10
Theoretical powder XRD pattern
Compound: LiPb3Au
Radiation: Cu Kα X-rays
Structure: a PBE-relaxed structure

Top 8 peaks for 10 to 80 degrees two-theta, by angle:
d [Å]	two_theta	I_rel
5.233	16.9	40
4.396	20.2	63
3.011	29.7	63
2.799	32.0	79
2.718	33.0	95
2.645	33.9	66
2.350	38.3	100
2.343	38.4	54

Atomic structure:
```
data_LiPb3Au
_chemical_formula_sum 'Li4 Pb12 Au4'
_cell_length_a 10.846
_cell_length_b 9.242
_cell_length_c 6.727
_cell_angle_alpha 90.00
_cell_angle_beta 125.85
_cell_angle_gamma 90.00
_space_group_name_H-M_alt 'C 1 2/m 1'
_space_group_IT_number 12
_space_group_name_Hall '-C 2y'
loop_
_atom_site_label
_atom_site_type_symbol
_atom_site_fract_x
_atom_site_fract_y
_atom_site_fract_z
Li1 Li 0.060 0.000 0.264
Pb1 Pb 0.066 0.500 0.310
Pb2 Pb 0.191 0.205 0.712
Au1 Au 0.232 0.000 0.102
```


Record 11
Theoretical powder XRD pattern
Compound: Ba3H5I
Radiation: Cu Kα X-rays
Structure: a PBE-relaxed structure

Top 8 peaks for 10 to 80 degrees two-theta, by angle:
d [Å]	two_theta	I_rel
3.651	24.4	19
3.542	25.1	29
3.497	25.5	100
3.413	26.1	23
3.196	27.9	33
3.112	28.7	33
2.868	31.2	49
1.999	45.4	24

Atomic structure:
```
data_Ba3H5I
_chemical_formula_sum 'Ba12 H20 I4'
_cell_length_a 4.373
_cell_length_b 14.167
_cell_length_c 12.782
_cell_angle_alpha 90.00
_cell_angle_beta 90.00
_cell_angle_gamma 90.00
_space_group_name_H-M_alt 'C m c m'
_space_group_IT_number 63
_space_group_name_Hall '-C 2c 2'
loop_
_atom_site_label
_atom_site_type_symbol
_atom_site_fract_x
_atom_site_fract_y
_atom_site_fract_z
Ba1 Ba 0.000 0.089 0.250
Ba2 Ba 0.000 0.376 0.035
H1 H 0.000 0.000 0.000
H2 H 0.000 0.191 0.065
H3 H 0.000 0.463 0.644
I1 I 0.000 0.187 0.750
```